Starting from a PBE-relaxed structure, the X-ray diffraction stick pattern of Ta2CuPd6 was calculated for λ = 1.5418 Å (Cu Kα).
Intensities are scaled so that the largest is 100.

Structural model:
Unit cell a=8.2196 b=7.3404 c=4.9469 alpha=81.45 beta=62.02 gamma=36.52
Sites, in units of the cell vectors:
Ta (0.1599, 0.1599, 0.8401)
Ta (0.8401, 0.8401, 0.1599)
Cu (0.5000, 0.5000, 0.5000)
Pd (0.1634, 0.8366, 0.1634)
Pd (0.1721, 0.4882, 0.5118)
Pd (0.4882, 0.1721, 0.8279)
Pd (0.5118, 0.8279, 0.1721)
Pd (0.8279, 0.5118, 0.4882)
Pd (0.8366, 0.1634, 0.8366)

The 10 most intense peaks (10° ≤ 2θ ≤ 80°), low angle first:
2theta	d (Å)	intensity
12.71	6.963	4
20.33	4.368	3
22.60	3.935	6
32.90	2.722	3
38.78	2.322	61
41.45	2.179	100
56.01	1.642	20
63.95	1.456	7
72.02	1.311	37
77.37	1.233	15